For Tb3Pm2Sm3, the PBE geometry in Alexandria gives the theoretical powder XRD pattern in this record (Cu Kα (weighted mean of Kα1 and Kα2)).
Lines closer than 0.1° are merged.

a = 5.7956 Å, b = 14.6442 Å, c = 6.3350 Å
α = 90.00°, β = 90.07°, γ = 90.00°
Space group P2_1/m (No. 11)
Inequivalent atoms, fractional coordinates:
Tb: 0.2494 0.2500 0.3363 x2
Tb: 0.2501 0.0001 0.3345 x4
Pm: 0.2500 0.6248 0.8317 x4
Sm: 0.2494 0.1245 0.8353 x4
Sm: 0.2508 0.7500 0.3322 x2

Top 10 peaks for 5° ≤ 2θ ≤ 70°, by angle:
two_theta  intensity
28.16  23.6
30.86  24.8
32.19  100.0
42.26  15.8
49.84  19.6
55.73  21.1
58.23  3.1
59.78  22.8
60.58  16.4
67.34  3.3